Ca3BiPd: simulated PXRD pattern (Cu Kα X-rays), based on a DFT-relaxed cell (GGA-PBE, Alexandria).

Principal peaks in the range 10 to 90 degrees two-theta, by angle:
- 22.94 deg, rel. 100, (1 1 0)
- 28.19 deg, rel. 28, (1 1 1)
- 32.66 deg, rel. 55, (2 0 0)
- 40.29 deg, rel. 48, (2 1 1)
- 46.86 deg, rel. 40, (2 2 0)
- 52.79 deg, rel. 22, (3 1 0)
- 63.48 deg, rel. 26, (3 2 1)
- 77.92 deg, rel. 17, (4 2 0)

Crystal structure
Cell: 5.483 5.483 5.483 Å, 90.00 90.00 90.00°
Space group Pm-3m (No. 221)
Symmetry-distinct sites (fractional):
Ca 0.000 0.000 0.500 (multiplicity 3)
Bi 0.500 0.500 0.500 (multiplicity 1)
Pd 0.000 0.000 0.000 (multiplicity 1)